Computed powder diffraction line list of Ba2US6 for Cu Kα (λ = 1.5418 Å), from a structure optimized by DFT (PBE).

Top 10 peaks for 10 to 90 degrees two-theta, by intensity:
2θ = 23.45°, 3.793 Å, intensity 100; 2θ = 23.09°, 3.853 Å, intensity 96; 2θ = 40.78°, 2.213 Å, intensity 87; 2θ = 32.88°, 2.724 Å, intensity 59; 2θ = 32.68°, 2.740 Å, intensity 56; 2θ = 11.16°, 7.925 Å, intensity 42; 2θ = 64.10°, 1.453 Å, intensity 31; 2θ = 47.04°, 1.932 Å, intensity 31; 2θ = 33.93°, 2.642 Å, intensity 20; 2θ = 34.82°, 2.576 Å, intensity 20

Cell and atoms:
```
Ba2US6
1.0
5.448 0.000 0.000
0.000 5.448 0.000
0.000 0.000 15.851
Ba U S
4 2 12
Direct
0.250 0.750 0.116
0.250 0.750 0.384
0.750 0.250 0.616
0.750 0.250 0.884
0.250 0.750 0.750
0.750 0.250 0.250
0.058 0.750 0.586
0.250 0.250 0.231
0.250 0.250 0.731
0.250 0.558 0.914
0.250 0.942 0.914
0.442 0.750 0.586
0.558 0.250 0.414
0.750 0.058 0.086
0.750 0.442 0.086
0.750 0.750 0.269
0.750 0.750 0.769
0.942 0.250 0.414
```



Computed powder diffraction line list of BaWS3 for Cu Kα (λ = 1.5418 Å), from a structure optimized by DFT (PBE).

Top 10 peaks for 10 to 90 degrees two-theta, by intensity:
2θ = 26.41°, 3.375 Å, intensity 100; 2θ = 15.16°, 5.845 Å, intensity 84; 2θ = 40.88°, 2.207 Å, intensity 38; 2θ = 54.37°, 1.687 Å, intensity 29; 2θ = 35.62°, 2.521 Å, intensity 25; 2θ = 34.02°, 2.635 Å, intensity 25; 2θ = 46.62°, 1.948 Å, intensity 22; 2θ = 32.38°, 2.765 Å, intensity 21; 2θ = 32.61°, 2.746 Å, intensity 19; 2θ = 34.21°, 2.621 Å, intensity 19

Cell and atoms:
```
BaWS3
1.0
5.955 0.000 0.000
-0.444 6.753 0.000
-0.456 -3.387 5.842
Ba W S
2 2 6
Direct
0.000 0.000 0.000
0.499 0.659 0.343
0.257 0.323 0.668
0.757 0.326 0.665
0.009 0.490 0.500
0.044 0.496 0.997
0.469 0.157 0.334
0.510 0.159 0.833
0.544 0.656 0.837
0.970 0.992 0.499
```



Computed powder diffraction line list of Ba3Zr2S7 for Cu Kα (λ = 1.5418 Å), from a structure optimized by DFT (PBE).

Top 10 peaks for 10 to 90 degrees two-theta, by intensity:
2θ = 24.73°, 3.600 Å, intensity 100; 2θ = 25.03°, 3.557 Å, intensity 78; 2θ = 35.70°, 2.515 Å, intensity 68; 2θ = 43.91°, 2.062 Å, intensity 44; 2θ = 32.69°, 2.739 Å, intensity 39; 2θ = 50.73°, 1.800 Å, intensity 29; 2θ = 51.37°, 1.779 Å, intensity 23; 2θ = 34.82°, 2.576 Å, intensity 23; 2θ = 43.37°, 2.087 Å, intensity 17; 2θ = 75.64°, 1.257 Å, intensity 16

Cell and atoms:
```
Ba3Zr2S7
1.0
3.557 -12.881 0.000
3.557 12.881 0.000
0.000 0.000 7.114
Ba Zr S
6 4 14
Direct
0.000 0.500 0.000
0.180 0.318 0.000
0.318 0.180 0.500
0.500 0.000 0.500
0.682 0.820 0.500
0.820 0.682 0.000
0.100 0.400 0.500
0.400 0.100 0.000
0.600 0.900 0.000
0.900 0.600 0.500
0.000 0.500 0.500
0.154 0.846 0.250
0.154 0.846 0.750
0.196 0.299 0.500
0.299 0.196 0.000
0.346 0.654 0.250
0.346 0.654 0.750
0.500 0.000 0.000
0.654 0.346 0.250
0.654 0.346 0.750
0.701 0.804 0.000
0.804 0.701 0.500
0.846 0.154 0.250
0.846 0.154 0.750
```